This entry pairs a crystal structure of CaBiSbO5 with its calculated powder XRD pattern. Radiation: Cu Kα. Structure: a cell relaxed with GGA-PBE.

Main lines, in order of falling intensity (2θ = 10–90°):
- 2θ 26.58, d = 3.353 Å, I = 1000
- 2θ 15.83, d = 5.599 Å, I = 978
- 2θ 23.58, d = 3.773 Å, I = 859
- 2θ 31.50, d = 2.840 Å, I = 417
- 2θ 40.29, d = 2.238 Å, I = 352
- 2θ 33.48, d = 2.677 Å, I = 322
- 2θ 30.98, d = 2.887 Å, I = 315
- 2θ 23.20, d = 3.835 Å, I = 296
- 2θ 38.54, d = 2.336 Å, I = 287
- 2θ 29.28, d = 3.050 Å, I = 264

```
CaBiSbO5
1.0
5.943 0.000 0.000
0.000 12.202 0.000
-2.876 0.000 8.078
Ca Bi Sb O
4 4 4 20
direct
0.051 0.086 0.183
0.051 0.414 0.683
0.949 0.586 0.317
0.949 0.914 0.817
0.467 0.093 0.843
0.467 0.407 0.343
0.533 0.593 0.657
0.533 0.907 0.157
0.338 0.644 0.032
0.338 0.856 0.532
0.662 0.144 0.468
0.662 0.356 0.968
0.198 0.712 0.498
0.198 0.788 0.998
0.230 0.555 0.176
0.230 0.945 0.676
0.273 0.024 0.013
0.273 0.476 0.513
0.283 0.569 0.827
0.283 0.931 0.327
0.340 0.189 0.368
0.340 0.311 0.868
0.660 0.689 0.132
0.660 0.811 0.632
0.717 0.069 0.673
0.717 0.431 0.173
0.727 0.524 0.487
0.727 0.976 0.987
0.770 0.055 0.324
0.770 0.445 0.824
0.802 0.212 0.002
0.802 0.288 0.502
```

This entry pairs a crystal structure of Ca2BiSbO6 with its calculated powder XRD pattern. Radiation: Cu Kα. Structure: a cell relaxed with GGA-PBE.

Main lines, in order of falling intensity (2θ = 10–90°):
- 2θ 29.77, d = 3.002 Å, I = 1000
- 2θ 20.93, d = 4.245 Å, I = 625
- 2θ 52.83, d = 1.733 Å, I = 404
- 2θ 42.60, d = 2.122 Å, I = 331
- 2θ 47.92, d = 1.898 Å, I = 285
- 2θ 85.61, d = 1.134 Å, I = 218
- 2θ 61.82, d = 1.501 Å, I = 202
- 2θ 70.10, d = 1.342 Å, I = 181
- 2θ 66.03, d = 1.415 Å, I = 137
- 2θ 18.10, d = 4.902 Å, I = 75

```
Ca2BiSbO6
1.0
0.000 4.245 4.245
4.245 0.000 4.245
4.245 4.245 0.000
Ca Bi Sb O
2 1 1 6
direct
0.250 0.250 0.250
0.750 0.750 0.750
0.000 0.000 0.000
0.500 0.500 0.500
0.266 0.266 0.734
0.266 0.734 0.266
0.266 0.734 0.734
0.734 0.266 0.266
0.734 0.266 0.734
0.734 0.734 0.266
```

This entry pairs a crystal structure of Ca2BiSbO6 with its calculated powder XRD pattern. Radiation: Cu Kα. Structure: a cell relaxed with GGA-PBE.

Main lines, in order of falling intensity (2θ = 10–90°):
- 2θ 30.15, d = 2.964 Å, I = 1000
- 2θ 30.62, d = 2.919 Å, I = 639
- 2θ 21.52, d = 4.129 Å, I = 578
- 2θ 54.14, d = 1.694 Å, I = 494
- 2θ 20.86, d = 4.259 Å, I = 359
- 2θ 43.86, d = 2.064 Å, I = 279
- 2θ 53.24, d = 1.720 Å, I = 262
- 2θ 42.45, d = 2.130 Å, I = 191
- 2θ 62.68, d = 1.482 Å, I = 184
- 2θ 49.36, d = 1.846 Å, I = 183

```
Ca2BiSbO6
1.0
5.839 0.000 0.000
0.000 5.839 0.000
0.000 0.000 8.518
Ca Bi Sb O
4 2 2 12
direct
0.000 0.500 0.250
0.000 0.500 0.750
0.500 0.000 0.250
0.500 0.000 0.750
0.000 0.000 0.000
0.500 0.500 0.500
0.000 0.000 0.500
0.500 0.500 0.000
0.000 0.000 0.265
0.000 0.000 0.735
0.141 0.315 0.500
0.185 0.359 0.000
0.315 0.859 0.500
0.359 0.815 0.000
0.500 0.500 0.235
0.500 0.500 0.765
0.641 0.185 0.000
0.685 0.141 0.500
0.815 0.641 0.000
0.859 0.685 0.500
```

This entry pairs a crystal structure of Ca2BiSbO6 with its calculated powder XRD pattern. Radiation: Cu Kα. Structure: a cell relaxed with GGA-PBE.

Main lines, in order of falling intensity (2θ = 10–90°):
- 2θ 21.53, d = 4.127 Å, I = 1000
- 2θ 30.52, d = 2.929 Å, I = 925
- 2θ 30.64, d = 2.918 Å, I = 904
- 2θ 21.33, d = 4.165 Å, I = 506
- 2θ 29.92, d = 2.986 Å, I = 457
- 2θ 54.77, d = 1.676 Å, I = 447
- 2θ 31.00, d = 2.884 Å, I = 410
- 2θ 49.34, d = 1.847 Å, I = 257
- 2θ 43.96, d = 2.060 Å, I = 233
- 2θ 55.00, d = 1.670 Å, I = 214

```
Ca2BiSbO6
1.0
5.769 0.000 0.000
0.000 8.240 0.000
-0.045 0.000 5.972
Ca Bi Sb O
4 2 2 12
direct
0.004 0.250 0.051
0.488 0.250 0.557
0.512 0.750 0.443
0.996 0.750 0.949
0.500 0.000 0.000
0.500 0.500 0.000
0.000 0.000 0.500
0.000 0.500 0.500
0.118 0.750 0.555
0.161 0.059 0.787
0.161 0.441 0.787
0.288 0.061 0.333
0.288 0.439 0.333
0.365 0.750 0.074
0.635 0.250 0.926
0.712 0.561 0.667
0.712 0.939 0.667
0.839 0.559 0.213
0.839 0.941 0.213
0.882 0.250 0.445
```

This entry pairs a crystal structure of SrCaBiSbO6 with its calculated powder XRD pattern. Radiation: Cu Kα. Structure: a cell relaxed with GGA-PBE.

Main lines, in order of falling intensity (2θ = 10–90°):
- 2θ 29.64, d = 3.014 Å, I = 1000
- 2θ 52.59, d = 1.740 Å, I = 408
- 2θ 20.84, d = 4.263 Å, I = 349
- 2θ 42.41, d = 2.131 Å, I = 316
- 2θ 85.17, d = 1.139 Å, I = 221
- 2θ 61.53, d = 1.507 Å, I = 196
- 2θ 69.76, d = 1.348 Å, I = 184
- 2θ 47.71, d = 1.906 Å, I = 157
- 2θ 18.02, d = 4.922 Å, I = 84
- 2θ 65.71, d = 1.421 Å, I = 75

```
SrCaBiSbO6
1.0
0.000 4.263 4.263
4.263 0.000 4.263
4.263 4.263 0.000
Sr Ca Bi Sb O
1 1 1 1 6
direct
0.000 0.000 0.000
0.500 0.500 0.500
0.750 0.750 0.750
0.250 0.250 0.250
0.016 0.016 0.484
0.016 0.484 0.016
0.016 0.484 0.484
0.484 0.016 0.016
0.484 0.016 0.484
0.484 0.484 0.016
```

This entry pairs a crystal structure of SrCaBiSbO6 with its calculated powder XRD pattern. Radiation: Cu Kα. Structure: a cell relaxed with GGA-PBE.

Main lines, in order of falling intensity (2θ = 10–90°):
- 2θ 29.95, d = 2.983 Å, I = 1000
- 2θ 53.17, d = 1.722 Å, I = 456
- 2θ 21.06, d = 4.219 Å, I = 315
- 2θ 42.87, d = 2.110 Å, I = 272
- 2θ 86.26, d = 1.128 Å, I = 232
- 2θ 70.59, d = 1.334 Å, I = 185
- 2θ 62.24, d = 1.492 Å, I = 159
- 2θ 48.23, d = 1.887 Å, I = 145
- 2θ 35.28, d = 2.544 Å, I = 65
- 2θ 18.21, d = 4.872 Å, I = 63

```
SrCaBiSbO6
1.0
8.433 0.000 0.000
0.000 8.440 0.000
0.000 0.000 8.443
Sr Ca Bi Sb O
4 4 4 4 24
direct
0.000 0.000 0.000
0.000 0.000 0.500
0.500 0.000 0.000
0.500 0.500 0.500
0.000 0.500 0.000
0.000 0.500 0.500
0.500 0.000 0.500
0.500 0.500 0.000
0.250 0.253 0.750
0.250 0.747 0.250
0.750 0.253 0.250
0.750 0.747 0.750
0.250 0.253 0.251
0.250 0.747 0.749
0.750 0.253 0.749
0.750 0.747 0.251
0.020 0.216 0.201
0.020 0.784 0.799
0.194 0.482 0.297
0.194 0.518 0.703
0.216 0.203 0.483
0.216 0.797 0.517
0.293 0.309 0.022
0.293 0.691 0.978
0.294 0.020 0.214
0.294 0.980 0.786
0.482 0.287 0.297
0.482 0.713 0.703
0.518 0.287 0.703
0.518 0.713 0.297
0.706 0.020 0.786
0.706 0.980 0.214
0.707 0.309 0.978
0.707 0.691 0.022
0.784 0.203 0.517
0.784 0.797 0.483
0.806 0.482 0.703
0.806 0.518 0.297
0.980 0.216 0.799
0.980 0.784 0.201
```

This entry pairs a crystal structure of SrCaYBiO6 with its calculated powder XRD pattern. Radiation: Cu Kα. Structure: a cell relaxed with GGA-PBE.

Main lines, in order of falling intensity (2θ = 10–90°):
- 2θ 29.78, d = 3.000 Å, I = 1000
- 2θ 30.18, d = 2.962 Å, I = 606
- 2θ 53.35, d = 1.717 Å, I = 489
- 2θ 18.19, d = 4.878 Å, I = 342
- 2θ 43.20, d = 2.094 Å, I = 289
- 2θ 21.21, d = 4.188 Å, I = 273
- 2θ 52.61, d = 1.740 Å, I = 255
- 2θ 61.85, d = 1.500 Å, I = 191
- 2θ 42.03, d = 2.150 Å, I = 184
- 2θ 20.66, d = 4.299 Å, I = 171

```
SrCaYBiO6
1.0
5.923 0.000 0.000
0.000 5.923 0.000
0.000 0.000 8.599
Sr Ca Y Bi O
2 2 2 2 12
direct
0.000 0.500 0.250
0.500 0.000 0.750
0.000 0.500 0.750
0.500 0.000 0.250
0.000 0.000 0.000
0.500 0.500 0.500
0.000 0.000 0.500
0.500 0.500 0.000
0.000 0.000 0.255
0.000 0.000 0.745
0.165 0.319 0.510
0.181 0.335 0.990
0.319 0.835 0.490
0.335 0.819 0.010
0.500 0.500 0.245
0.500 0.500 0.755
0.665 0.181 0.010
0.681 0.165 0.490
0.819 0.665 0.990
0.835 0.681 0.510
```